Structure and calculated powder diffraction line list of Li5VCr3O8 (DFT lattice parameters and positions (GGA+U); Cu Ka).

Cell lengths 6.139, 6.139, 6.139 Å; angles 58.52, 58.52, 58.52 degrees
Positions (direct):
Li 0.000 0.000 0.500
Li 0.000 0.500 0.000
Li 0.066 0.066 0.066
Li 0.500 0.000 0.000
Li 0.934 0.934 0.934
V 0.500 0.500 0.500
Cr 0.000 0.500 0.500
Cr 0.500 0.000 0.500
Cr 0.500 0.500 0.000
O 0.252 0.252 0.727
O 0.252 0.727 0.252
O 0.258 0.258 0.258
O 0.273 0.748 0.748
O 0.727 0.252 0.252
O 0.742 0.742 0.742
O 0.748 0.273 0.748
O 0.748 0.748 0.273

Main lines, by angle (5° ≤ 2θ ≤ 70°):
two_theta	I_rel
17.50	38.9
18.04	75.0
34.16	14.8
34.74	25.8
35.03	14.1
42.12	100.0
60.34	26.0
61.83	27.9